Starting from the PBE+U geometry in the Materials Project, the powder diffractogram of LiV3O4 was simulated for Cu Kα.

Crystal structure
Cell lengths 6.1528, 6.1528, 5.2751 Å; angles 106.45, 106.45, 58.02 degrees
Fractional positions:
Li: 0.2493 0.7507 0.0000
Li: 0.7507 0.2493 0.0000
V: 0.0000 0.0000 0.5000
V: 0.0000 0.5000 0.5000
V: 0.2513 0.2513 0.0004
V: 0.5000 0.0000 0.5000
V: 0.5000 0.5000 0.5000
V: 0.7487 0.7487 0.9996
O: 0.1200 0.6217 0.2460
O: 0.1322 0.1322 0.2600
O: 0.3686 0.3686 0.7364
O: 0.3783 0.8800 0.7540
O: 0.6217 0.1200 0.2460
O: 0.6314 0.6314 0.2636
O: 0.8678 0.8678 0.7400
O: 0.8800 0.3783 0.7540

Top 6 peaks for 10° ≤ 2θ ≤ 80°, sorted by position:
2θ (°), I (rel.)
17.42, 27.7
36.56, 25.5
41.68, 51.6
42.05, 100.0
60.20, 29.0
61.18, 27.5



Starting from the PBE+U geometry in the Materials Project, the powder diffractogram of LiV3O6 was simulated for Cu Kα.

Crystal structure
Cell lengths 4.9717, 5.0924, 5.4667 Å; angles 62.66, 89.50, 60.98 degrees
Fractional positions:
Li: 0.0000 0.0000 0.0000
V: 0.2155 0.5532 0.6441
V: 0.5117 0.9732 0.5534
V: 0.7082 0.5644 0.1530
O: 0.1185 0.4251 0.3726
O: 0.3381 0.7372 0.8436
O: 0.4225 0.7479 0.3716
O: 0.5826 0.0802 0.8475
O: 0.7927 0.0626 0.3729
O: 0.9366 0.4820 0.8468

Top 6 peaks for 10° ≤ 2θ ≤ 80°, sorted by position:
2θ (°), I (rel.)
19.01, 83.8
24.17, 100.0
24.36, 85.0
32.45, 96.3
32.85, 96.1
32.97, 84.9



Starting from the PBE+U geometry in the Materials Project, the powder diffractogram of LiV3O4 was simulated for Cu Kα.

Crystal structure
Cell lengths 6.1029, 6.1029, 6.0671 Å; angles 119.63, 119.63, 89.67 degrees
Fractional positions:
Li: 0.0000 0.0000 0.0000
Li: 0.5000 0.5000 0.5000
V: 0.0000 0.0000 0.5000
V: 0.0000 0.5000 0.0000
V: 0.0000 0.5000 0.5000
V: 0.5000 0.0000 0.0000
V: 0.5000 0.0000 0.5000
V: 0.5000 0.5000 0.0000
O: 0.2421 0.7579 0.5000
O: 0.2487 0.2487 0.5129
O: 0.2510 0.2510 0.9851
O: 0.2581 0.7419 0.0000
O: 0.7419 0.2581 0.0000
O: 0.7490 0.7490 0.0149
O: 0.7513 0.7513 0.4871
O: 0.7579 0.2421 0.5000

Top 6 peaks for 10° ≤ 2θ ≤ 80°, sorted by position:
2θ (°), I (rel.)
17.89, 100.0
41.52, 99.1
41.75, 97.2
41.99, 95.4
60.54, 54.1
60.71, 53.4



Starting from the PBE+U geometry in the Materials Project, the powder diffractogram of Li2V6O15 was simulated for Cu Kα.

Crystal structure
Cell lengths 8.0939, 8.0939, 10.4012 Å; angles 112.34, 112.34, 26.22 degrees
Fractional positions:
Li: 0.0077 0.0077 0.3191
Li: 0.9923 0.9923 0.6809
V: 0.1217 0.1217 0.1120
V: 0.2888 0.2888 0.4142
V: 0.3376 0.3376 0.1035
V: 0.6624 0.6624 0.8965
V: 0.7112 0.7112 0.5858
V: 0.8783 0.8783 0.8880
O: 0.0000 0.0000 0.0000
O: 0.1157 0.1157 0.2683
O: 0.1859 0.1859 0.9603
O: 0.2407 0.2407 0.5685
O: 0.2664 0.2664 0.2302
O: 0.3666 0.3666 0.9269
O: 0.4010 0.4010 0.4913
O: 0.4423 0.4423 0.2354
O: 0.5577 0.5577 0.7646
O: 0.5990 0.5990 0.5087
O: 0.6334 0.6334 0.0731
O: 0.7336 0.7336 0.7698
O: 0.7593 0.7593 0.4315
O: 0.8141 0.8141 0.0397
O: 0.8843 0.8843 0.7317

Top 6 peaks for 10° ≤ 2θ ≤ 80°, sorted by position:
2θ (°), I (rel.)
12.20, 100.0
25.86, 78.4
29.17, 39.4
29.53, 36.0
31.87, 23.2
49.66, 28.2



Starting from the PBE+U geometry in the Materials Project, the powder diffractogram of Li8VO6 was simulated for Cu Kα.

Crystal structure
Cell lengths 5.3929, 5.3980, 10.5009 Å; angles 90.00, 104.65, 119.39 degrees
Fractional positions:
Li: 0.0096 0.4189 0.3205
Li: 0.0115 0.9278 0.8248
Li: 0.1446 0.8185 0.4888
Li: 0.1674 0.3436 0.9893
Li: 0.2604 0.1887 0.6777
Li: 0.2652 0.6846 0.1772
Li: 0.3949 0.5872 0.8209
Li: 0.4015 0.0861 0.3262
Li: 0.5985 0.9139 0.6738
Li: 0.6051 0.4128 0.1791
Li: 0.7348 0.3154 0.8228
Li: 0.7396 0.8113 0.3223
Li: 0.8326 0.6564 0.0107
Li: 0.8554 0.1815 0.5112
Li: 0.9885 0.0722 0.1752
Li: 0.9904 0.5811 0.6795
V: 0.5000 0.0000 0.0000
V: 0.5000 0.5000 0.5000
O: 0.1197 0.6504 0.8829
O: 0.1226 0.1499 0.3832
O: 0.2674 0.5318 0.6181
O: 0.2784 0.0284 0.1148
O: 0.4096 0.2622 0.8818
O: 0.4107 0.7490 0.3849
O: 0.5893 0.2510 0.6151
O: 0.5904 0.7378 0.1182
O: 0.7216 0.9716 0.8852
O: 0.7326 0.4682 0.3819
O: 0.8774 0.8501 0.6168
O: 0.8803 0.3496 0.1171

Top 6 peaks for 10° ≤ 2θ ≤ 80°, sorted by position:
2θ (°), I (rel.)
17.65, 65.0
19.78, 100.0
19.96, 51.0
22.40, 75.2
37.43, 53.0
37.93, 96.7



Starting from the PBE+U geometry in the Materials Project, the powder diffractogram of LiV6O15 was simulated for Cu Kα.

Crystal structure
Cell lengths 8.1568, 8.1568, 10.3098 Å; angles 109.31, 109.31, 25.95 degrees
Fractional positions:
Li: 0.0000 0.0000 0.0000
V: 0.2277 0.2277 0.2217
V: 0.2713 0.2713 0.9133
V: 0.4422 0.4422 0.2111
V: 0.6765 0.6765 0.4335
V: 0.8390 0.8390 0.7244
V: 0.9047 0.9047 0.4337
O: 0.0007 0.0007 0.5521
O: 0.1279 0.1279 0.1063
O: 0.1646 0.1646 0.8567
O: 0.2001 0.2001 0.3943
O: 0.2988 0.2988 0.1048
O: 0.3108 0.3108 0.7475
O: 0.3787 0.3787 0.3819
O: 0.4552 0.4552 0.0546
O: 0.5650 0.5650 0.3331
O: 0.6794 0.6794 0.5942
O: 0.7457 0.7457 0.2686
O: 0.8027 0.8027 0.8982
O: 0.8274 0.8274 0.5439
O: 0.9303 0.9303 0.2633
O: 0.9471 0.9471 0.7982

Top 6 peaks for 10° ≤ 2θ ≤ 80°, sorted by position:
2θ (°), I (rel.)
11.84, 100.0
25.98, 68.2
28.35, 36.0
29.78, 30.5
32.18, 23.4
49.79, 23.3